The following is a simulated powder XRD pattern of Ho6Sc2Ru. It was derived from a GGA-PBE-relaxed structure, using Cu Kα (weighted mean of Kα1 and Kα2).
Peak positions follow from Bragg's law for the DFT cell and can differ from measured ones.

Cell and atoms:
Lattice parameters (Å, degrees): 8.304 3.560 8.618 90.00 91.83 90.00
Space group P2/m (No. 10)
Asymmetric unit:
Ho1 0.029 0.000 0.195 (multiplicity 2)
Ho2 0.245 0.500 0.555 (multiplicity 2)
Ho3 0.439 0.000 0.259 (multiplicity 2)
Sc1 0.302 0.500 0.963 (multiplicity 2)
Ru1 0.000 0.000 0.500 (multiplicity 1)

Largest 10 diffraction maxima, by angle, 10° ≤ 2θ ≤ 80°:
two_theta	intensity	h k l
10.27	34.3	0 0 1
29.08	16.7	1 1 -1
29.38	25.0	2 0 -2
30.39	36.8	2 0 2
32.65	100.0	1 0 -3
33.16	94.9	2 1 0
33.71	19.3	3 0 -1
34.61	19.1	2 1 -1
51.34	17.5	0 2 0
51.96	31.4	3 1 -3